(1)
Theoretical X-ray powder pattern of LiH6C3BrN2 for Cu Kα X-rays, from DFT lattice parameters and positions (PBE).
Lines closer than 0.1° are merged.

Top 10 peaks for 15° ≤ 2θ ≤ 90°, in order of falling intensity:
Position (°2θ)	I (rel.)
22.4	100
24.3	98
25.6	89
17.9	78
28.3	75
24.9	67
29.1	64
26.9	62
21.6	58
32.6	57

Crystal structure
Unit cell a=4.5203 b=17.5390 c=9.5108 alpha=90.00 beta=100.97 gamma=90.00
Space group P2_1/c (No. 14)
Symmetry-distinct sites (fractional):
1 Li 0.2312 0.0626 0.4411
2 H 0.0908 0.6066 0.4408
3 H 0.0987 0.6377 0.7894
4 H 0.1984 0.0845 0.9603
5 H 0.2671 0.1519 0.1040
6 H 0.2991 0.7250 0.7763
7 H 0.4055 0.6396 0.6961
8 C 0.0979 0.1302 0.0152
9 C 0.1046 0.2394 0.4320
10 C 0.2148 0.6725 0.7203
11 Br 0.3179 0.5161 0.1710
12 N 0.0095 0.6919 0.5860
13 N 0.2009 0.1770 0.4462

***

(2)
Theoretical X-ray powder pattern of Te2MoWS2 for Cu Kα X-rays, from DFT lattice parameters and positions (PBE).
Lines closer than 0.1° are merged.

Top 10 peaks for 15° ≤ 2θ ≤ 90°, in order of falling intensity:
Position (°2θ)	I (rel.)
36.1	100
43.4	55
38.3	54
30.7	38
34.2	36
30.9	30
54.6	27
40.7	26
54.7	23
32.7	22

Crystal structure
Unit cell a=3.3635 b=3.3635 c=23.9192 alpha=90.00 beta=90.00 gamma=120.00
Space group P3m1 (No. 156)
Symmetry-distinct sites (fractional):
1 Te 0.0000 0.0000 0.0000
2 Te 0.0000 0.0000 0.1589
3 Mo 0.0000 0.0000 0.3804
4 W 0.6667 0.3333 0.0794
5 S 0.6667 0.3333 0.3172
6 S 0.6667 0.3333 0.4436

***

(3)
Theoretical X-ray powder pattern of GdTiFe11C for Cu Kα X-rays, from DFT lattice parameters and positions (PBE).
Lines closer than 0.1° are merged.

Top 10 peaks for 15° ≤ 2θ ≤ 90°, in order of falling intensity:
Position (°2θ)	I (rel.)
42.7	100
42.5	46
42.8	35
36.8	34
48.0	30
42.2	26
29.7	22
36.5	19
77.5	16
29.8	15

Crystal structure
Unit cell a=4.8784 b=8.5576 c=8.4678 alpha=90.00 beta=90.00 gamma=90.00
Space group Imm2 (No. 44)
Symmetry-distinct sites (fractional):
1 Gd 0.0000 0.0000 0.0000
2 Ti 0.0000 0.0000 0.6256
3 Fe 0.0000 0.0000 0.3491
4 Fe 0.0000 0.2791 0.4893
5 Fe 0.0000 0.3589 0.9917
6 Fe 0.0000 0.5000 0.2685
7 Fe 0.0000 0.5000 0.7177
8 Fe 0.2494 0.2482 0.2425
9 C 0.0000 0.5000 0.4933

***

(4)
Theoretical X-ray powder pattern of Zr4N2O5 for Cu Kα X-rays, from DFT lattice parameters and positions (PBE).
Lines closer than 0.1° are merged.

Top 10 peaks for 15° ≤ 2θ ≤ 90°, in order of falling intensity:
Position (°2θ)	I (rel.)
30.1	100
50.3	29
59.4	17
34.8	15
50.0	14
60.0	11
35.2	9
21.1	7
37.0	5
81.8	5

Crystal structure
Unit cell a=10.3260 b=10.3260 c=10.2049 alpha=90.00 beta=90.00 gamma=90.00
Space group I4cm (No. 108)
Symmetry-distinct sites (fractional):
1 Zr 0.0000 0.0000 0.0000
2 Zr 0.0000 0.5000 0.0351
3 Zr 0.0304 0.2443 0.2514
4 Zr 0.2284 0.2716 0.5239
5 N 0.1102 0.3898 0.3912
6 N 0.1365 0.3635 0.1129
7 O 0.1039 0.1365 0.6274
8 O 0.1170 0.1493 0.8821
9 O 0.1224 0.3776 0.6798

***

(5)
Theoretical X-ray powder pattern of MnVAs2 for Cu Kα X-rays, from DFT lattice parameters and positions (PBE).
Lines closer than 0.1° are merged.

Top 10 peaks for 15° ≤ 2θ ≤ 90°, in order of falling intensity:
Position (°2θ)	I (rel.)
33.8	100
43.7	71
32.8	51
42.4	41
51.6	36
42.9	33
53.6	26
49.9	23
85.4	19
41.1	18

Crystal structure
Unit cell a=3.4168 b=6.2100 c=5.7357 alpha=90.00 beta=90.00 gamma=90.00
Space group Pmc2_1 (No. 26)
Symmetry-distinct sites (fractional):
1 Mn 0.0000 0.0620 0.0000
2 V 0.5000 0.4453 0.0082
3 As 0.0000 0.3248 0.3070
4 As 0.5000 0.1683 0.7011

***

(6)
Theoretical X-ray powder pattern of Cs2PbO3 for Cu Kα X-rays, from DFT lattice parameters and positions (PBE).
Lines closer than 0.1° are merged.

Top 10 peaks for 15° ≤ 2θ ≤ 90°, in order of falling intensity:
Position (°2θ)	I (rel.)
26.7	100
29.5	95
25.6	56
38.9	51
28.7	46
44.1	29
54.9	27
51.4	19
49.7	19
56.0	16

Crystal structure
Unit cell a=11.6061 b=7.9020 c=6.2116 alpha=90.00 beta=90.00 gamma=90.00
Space group Cmc2_1 (No. 36)
Symmetry-distinct sites (fractional):
1 Cs 0.1626 0.1452 0.0000
2 Pb 0.0000 0.4122 0.5192
3 O 0.0000 0.1519 0.5637
4 O 0.1239 0.4852 0.2622